Li4ZrGe2: computed powder diffractogram (Cu Kα (λ = 1.5418 Å)), based on DFT lattice parameters and positions (PBE).
Kinematic intensities with the Lorentz-polarization factor, no thermal factor.

Main lines, most intense first (5° ≤ 2θ ≤ 70°):
two_theta, d/Å, I/Imax, (hkl)
23.5, 3.793, 100.0, 1 0 1
40.5, 2.225, 44.5, 1 1 0
41.0, 2.201, 37.2, 0 1 8
37.5, 2.399, 33.6, 1 0 7
56.6, 1.627, 20.7, 1 1 9
24.5, 3.627, 20.2, 0 1 2
47.4, 1.919, 14.7, 0 2 1
59.0, 1.565, 12.4, 2 0 8
64.1, 1.453, 11.6, 2 1 1
37.7, 2.384, 11.5, 0 0 9
56.4, 1.631, 10.0, 0 2 7
28.5, 3.130, 4.1, 1 0 4

Structural model:
```
data_Li4ZrGe2
_chemical_formula_sum 'Li12 Zr3 Ge6'
_space_group_name_H-M_alt 'R -3 m'
_space_group_IT_number 166
_space_group_name_Hall '-R 3 2"'
_cell_length_a 4.4501
_cell_length_b 4.4501
_cell_length_c 21.4555
_cell_angle_alpha 90.00
_cell_angle_beta 90.00
_cell_angle_gamma 120.00
loop_
_atom_site_label
_atom_site_fract_x
_atom_site_fract_y
_atom_site_fract_z
Li1 0.0000 0.0000 0.0743
Li2 0.0000 0.0000 0.2511
Zr1 0.0000 0.0000 0.5000
Ge1 0.0000 0.0000 0.3758
```

=====

Lu3Ge4: computed powder diffractogram (Cu Kα (λ = 1.5418 Å)), based on DFT lattice parameters and positions (PBE).
Kinematic intensities with the Lorentz-polarization factor, no thermal factor.

Main lines, most intense first (5° ≤ 2θ ≤ 70°):
two_theta, d/Å, I/Imax, (hkl)
35.0, 2.561, 100.0, 1 1 4
34.1, 2.629, 78.8, 1 3 0
30.6, 2.923, 51.7, 0 2 4
34.7, 2.582, 42.2, 0 4 1
45.6, 1.991, 36.7, 2 0 0
42.9, 2.107, 35.8, 0 4 4
39.3, 2.295, 31.7, 1 3 3
27.1, 3.293, 28.1, 1 1 2
38.3, 2.352, 26.3, 0 0 6
25.4, 3.504, 24.4, 0 2 3
52.2, 1.752, 22.2, 1 3 6
58.5, 1.577, 15.7, 2 4 1

Structural model:
```
data_Lu3Ge4
_chemical_formula_sum 'Lu12 Ge16'
_space_group_name_H-M_alt 'C m c m'
_space_group_IT_number 63
_space_group_name_Hall '-C 2c 2'
_cell_length_a 3.982
_cell_length_b 10.504
_cell_length_c 14.109
_cell_angle_alpha 90.00
_cell_angle_beta 90.00
_cell_angle_gamma 90.00
loop_
_atom_site_label
_atom_site_fract_x
_atom_site_fract_y
_atom_site_fract_z
Lu1 0.000 0.051 0.250
Lu2 0.000 0.332 0.098
Ge1 0.000 0.000 0.000
Ge2 0.000 0.219 0.750
Ge3 0.000 0.379 0.608
```

=====

Lu4MgGe4: computed powder diffractogram (Cu Kα (λ = 1.5418 Å)), based on DFT lattice parameters and positions (PBE).
Kinematic intensities with the Lorentz-polarization factor, no thermal factor.

Main lines, most intense first (5° ≤ 2θ ≤ 70°):
two_theta, d/Å, I/Imax, (hkl)
33.6, 2.663, 100.0, 2 3 1
32.6, 2.744, 87.8, 1 3 2
34.3, 2.612, 42.1, 0 4 2
40.1, 2.248, 36.3, 3 0 1
36.7, 2.450, 33.8, 1 4 2
59.4, 1.555, 29.2, 3 4 3
37.6, 2.392, 27.2, 2 4 1
38.3, 2.351, 26.1, 1 1 3
28.6, 3.125, 21.7, 2 1 1
24.7, 3.600, 20.1, 0 4 0
53.1, 1.724, 18.2, 3 0 3
27.4, 3.257, 16.2, 1 1 2

Structural model:
```
data_Lu4MgGe4
_chemical_formula_sum 'Lu16 Mg4 Ge16'
_space_group_name_H-M_alt 'P n m a'
_space_group_IT_number 62
_cell_length_a 7.062
_cell_length_b 14.398
_cell_length_c 7.593
_cell_angle_alpha 90.00
_cell_angle_beta 90.00
_cell_angle_gamma 90.00
loop_
_space_group_symop_operation_xyz
'x,y,z'
'-x,-y,-z'
'-x+1/2,-y,z+1/2'
'x+1/2,y,-z+1/2'
'x+1/2,-y+1/2,-z+1/2'
'-x+1/2,y+1/2,z+1/2'
'-x,y+1/2,-z'
'x,-y+1/2,z'
loop_
_atom_site_label
_atom_site_fract_x
_atom_site_fract_y
_atom_site_fract_z
Lu1 0.006 0.093 0.182
Lu2 0.166 0.126 0.676
Mg1 0.165 0.750 0.516
Ge1 0.028 0.750 0.093
Ge2 0.177 0.536 0.465
Ge3 0.206 0.250 0.359
```

=====

Lu2GeO5: computed powder diffractogram (Cu Kα (λ = 1.5418 Å)), based on DFT lattice parameters and positions (PBE).
Kinematic intensities with the Lorentz-polarization factor, no thermal factor.

Main lines, most intense first (5° ≤ 2θ ≤ 70°):
two_theta, d/Å, I/Imax, (hkl)
30.3, 2.952, 100.0, 2 1 0
30.1, 2.965, 72.9, 2 0 3
34.8, 2.577, 38.9, 0 1 3
50.5, 1.806, 35.7, 4 1 3
25.9, 3.440, 25.1, 1 0 3
59.7, 1.549, 21.2, 2 2 3
50.2, 1.816, 18.3, 0 2 0
11.9, 7.443, 18.0, 1 0 1
57.1, 1.612, 16.3, 1 1 6
35.4, 2.533, 15.8, 4 0 0
36.0, 2.498, 14.9, 1 1 3
50.7, 1.799, 14.6, 1 0 6

Structural model:
```
data_Lu2GeO5
_chemical_formula_sum 'Lu8 Ge4 O20'
_space_group_name_H-M_alt 'P n m a'
_space_group_IT_number 62
_cell_length_a 10.132
_cell_length_b 3.633
_cell_length_c 10.969
_cell_angle_alpha 90.00
_cell_angle_beta 90.00
_cell_angle_gamma 90.00
loop_
_space_group_symop_operation_xyz
'x,y,z'
'-x,-y,-z'
'-x+1/2,-y,z+1/2'
'x+1/2,y,-z+1/2'
'x+1/2,-y+1/2,-z+1/2'
'-x+1/2,y+1/2,z+1/2'
'-x,y+1/2,-z'
'x,-y+1/2,z'
loop_
_atom_site_label
_atom_site_fract_x
_atom_site_fract_y
_atom_site_fract_z
Lu1 0.113 0.250 0.221
Lu2 0.135 0.250 0.555
Ge1 0.173 0.250 0.880
O1 0.004 0.250 0.845
O2 0.007 0.750 0.605
O3 0.224 0.250 0.040
O4 0.235 0.750 0.882
O5 0.244 0.750 0.229
```

=====

Lu6Ge4O17: computed powder diffractogram (Cu Kα (λ = 1.5418 Å)), based on DFT lattice parameters and positions (PBE).
Kinematic intensities with the Lorentz-polarization factor, no thermal factor.

Main lines, most intense first (5° ≤ 2θ ≤ 70°):
two_theta, d/Å, I/Imax, (hkl)
29.5, 3.030, 100.0, 2 0 2
25.9, 3.444, 51.0, 3 0 -2
27.4, 3.255, 44.3, 0 2 1
20.9, 4.251, 30.2, 2 1 -1
31.7, 2.825, 20.9, 0 2 2
34.2, 2.621, 20.7, 1 0 -4
35.5, 2.527, 19.4, 4 1 -1
36.5, 2.464, 18.1, 1 2 -3
35.8, 2.505, 16.7, 3 2 -1
15.5, 5.710, 16.6, 1 1 0
53.2, 1.720, 14.8, 5 1 -5
34.5, 2.603, 14.6, 2 2 1

Structural model:
```
data_Lu6Ge4O17
_chemical_formula_sum 'Lu12 Ge8 O34'
_space_group_name_H-M_alt 'P 1 2/c 1'
_space_group_IT_number 13
_cell_length_a 10.937
_cell_length_b 6.898
_cell_length_c 10.578
_cell_angle_alpha 90.00
_cell_angle_beta 111.45
_cell_angle_gamma 90.00
loop_
_space_group_symop_operation_xyz
'x,y,z'
'-x,-y,-z'
'-x,y,-z+1/2'
'x,-y,z+1/2'
loop_
_atom_site_label
_atom_site_fract_x
_atom_site_fract_y
_atom_site_fract_z
Lu1 0.049 0.247 0.477
Lu2 0.169 0.093 0.807
Lu3 0.427 0.339 0.073
Ge1 0.224 0.424 0.271
Ge2 0.382 0.139 0.603
O1 0.014 0.076 0.887
O2 0.098 0.475 0.112
O3 0.157 0.223 0.331
O4 0.239 0.175 0.639
O5 0.243 0.385 0.888
O6 0.353 0.055 0.988
O7 0.372 0.358 0.251
O8 0.444 0.345 0.550
O9 0.500 0.030 0.750
```

=====

Lu2Ge2O7: computed powder diffractogram (Cu Kα (λ = 1.5418 Å)), based on DFT lattice parameters and positions (PBE).
Kinematic intensities with the Lorentz-polarization factor, no thermal factor.

Main lines, most intense first (5° ≤ 2θ ≤ 70°):
two_theta, d/Å, I/Imax, (hkl)
33.0, 2.713, 100.0, 2 1 2
27.4, 3.260, 77.6, 2 0 1
29.1, 3.071, 71.1, 0 0 4
15.0, 5.924, 47.9, 1 0 1
30.4, 2.936, 47.5, 2 1 1
34.4, 2.607, 41.5, 2 0 3
49.1, 1.854, 35.8, 3 2 1
54.1, 1.695, 32.8, 2 1 6
62.7, 1.481, 25.1, 4 0 4
54.3, 1.691, 23.2, 4 0 0
29.5, 3.024, 20.3, 2 1 0
62.3, 1.491, 18.8, 3 2 5

Structural model:
```
data_Lu2Ge2O7
_chemical_formula_sum 'Lu8 Ge8 O28'
_space_group_name_H-M_alt 'P 41 21 2'
_space_group_IT_number 92
_cell_length_a 6.762
_cell_length_b 6.762
_cell_length_c 12.282
_cell_angle_alpha 90.00
_cell_angle_beta 90.00
_cell_angle_gamma 90.00
loop_
_space_group_symop_operation_xyz
'x,y,z'
'-y+1/2,x+1/2,z+1/4'
'-x,-y,z+1/2'
'y+1/2,-x+1/2,z+3/4'
'x+1/2,-y+1/2,-z+3/4'
'-y,-x,-z+1/2'
'-x+1/2,y+1/2,-z+1/4'
'y,x,-z'
loop_
_atom_site_label
_atom_site_fract_x
_atom_site_fract_y
_atom_site_fract_z
Lu1 0.127 0.356 0.115
Ge1 0.101 0.149 0.633
O1 0.037 0.080 0.870
O2 0.067 0.662 0.180
O3 0.143 0.323 0.293
O4 0.196 0.196 0.500
```

=====

Lu4Ge8Ru: computed powder diffractogram (Cu Kα (λ = 1.5418 Å)), based on DFT lattice parameters and positions (PBE).
Kinematic intensities with the Lorentz-polarization factor, no thermal factor.

Main lines, most intense first (5° ≤ 2θ ≤ 70°):
two_theta, d/Å, I/Imax, (hkl)
35.8, 2.509, 100.0, 1 1 3
44.3, 2.043, 16.8, 0 2 0
45.7, 1.986, 16.6, 2 0 0
25.1, 3.554, 12.9, 1 0 2
40.9, 2.205, 12.1, 1 0 6
33.8, 2.651, 11.1, 0 0 6
65.5, 1.424, 10.8, 2 2 0
31.9, 2.805, 10.0, 1 1 1
51.4, 1.777, 8.6, 1 0 8
59.3, 1.558, 8.1, 2 1 5
61.9, 1.499, 7.1, 1 2 6
27.6, 3.237, 5.7, 0 1 3

Structural model:
```
data_Lu4Ge8Ru
_chemical_formula_sum 'Lu4 Ge8 Ru1'
_space_group_name_H-M_alt 'P m m 2'
_space_group_IT_number 25
_cell_length_a 3.972
_cell_length_b 4.086
_cell_length_c 15.908
_cell_angle_alpha 90.00
_cell_angle_beta 90.00
_cell_angle_gamma 90.00
loop_
_space_group_symop_operation_xyz
'x,y,z'
'-x,-y,z'
'-x,y,z'
'x,-y,z'
loop_
_atom_site_label
_atom_site_fract_x
_atom_site_fract_y
_atom_site_fract_z
Lu1 0.000 0.000 0.000
Lu2 0.000 0.500 0.484
Lu3 0.500 0.000 0.788
Lu4 0.500 0.500 0.284
Ge1 0.000 0.000 0.327
Ge2 0.000 0.000 0.618
Ge3 0.000 0.500 0.140
Ge4 0.000 0.500 0.857
Ge5 0.500 0.000 0.144
Ge6 0.500 0.000 0.437
Ge7 0.500 0.500 0.616
Ge8 0.500 0.500 0.963
Ru1 0.000 0.500 0.705
```

=====

LuTcGe: computed powder diffractogram (Cu Kα (λ = 1.5418 Å)), based on DFT lattice parameters and positions (PBE).
Kinematic intensities with the Lorentz-polarization factor, no thermal factor.

Main lines, most intense first (5° ≤ 2θ ≤ 70°):
two_theta, d/Å, I/Imax, (hkl)
38.6, 2.334, 100.0, 1 0 3
38.1, 2.363, 59.4, 1 1 0
69.1, 1.359, 35.5, 2 1 3
28.2, 3.163, 27.8, 1 0 1
54.9, 1.671, 20.4, 2 0 0
54.0, 1.699, 14.6, 1 1 4
36.8, 2.445, 11.0, 0 0 4
67.9, 1.380, 7.3, 2 0 4
62.9, 1.478, 6.1, 2 1 1
56.5, 1.630, 5.4, 0 0 6
18.1, 4.889, 3.0, 0 0 2
42.5, 2.128, 1.6, 1 1 2

Structural model:
```
data_LuTcGe
_chemical_formula_sum 'Lu2 Tc2 Ge2'
_space_group_name_H-M_alt 'I 4 m m'
_space_group_IT_number 107
_space_group_name_Hall 'I 4 -2'
_cell_length_a 3.342
_cell_length_b 3.342
_cell_length_c 9.779
_cell_angle_alpha 90.00
_cell_angle_beta 90.00
_cell_angle_gamma 90.00
loop_
_atom_site_label
_atom_site_fract_x
_atom_site_fract_y
_atom_site_fract_z
Lu1 0.000 0.000 0.000
Tc1 0.000 0.000 0.690
Ge1 0.000 0.000 0.301
```